Entry 1:
Computed powder diffractogram
Compound: SrMgGaIr2
Radiation: Cu Kα
Structure: a GGA-PBE-relaxed structure
Kinematic intensities with the Lorentz-polarization factor, no thermal factor.

```
data_SrMgGaIr2
_chemical_formula_sum 'Sr2 Mg2 Ga2 Ir4'
_symmetry_space_group_name_H-M 'I m m 2'
_symmetry_Int_Tables_number 44
_cell_length_a 4.2346
_cell_length_b 4.3178
_cell_length_c 11.1708
_cell_angle_alpha 90.00
_cell_angle_beta 90.00
_cell_angle_gamma 90.00
loop_
_symmetry_equiv_pos_as_xyz
'x,y,z'
'-x,-y,z'
'-x,y,z'
'x,-y,z'
'x+1/2,y+1/2,z+1/2'
'-x+1/2,-y+1/2,z+1/2'
'-x+1/2,y+1/2,z+1/2'
'x+1/2,-y+1/2,z+1/2'
loop_
_atom_site_label
_atom_site_type_symbol
_atom_site_fract_x
_atom_site_fract_y
_atom_site_fract_z
_atom_site_occupancy
Sr1 Sr 0.0000 0.0000 0.0000 1
Mg1 Mg 0.0000 0.5000 0.7587 1
Ga1 Ga 0.0000 0.0000 0.6148 1
Ir1 Ir 0.0000 0.0000 0.3891 1
Ir2 Ir 0.0000 0.5000 0.2623 1
```

Principal peaks in the range 2θ = 5–70°, in order of falling intensity:
(hkl), 2θ (°), d_spacing, I (rel.)
1 1 2, 33.71, 2.659, 1000
1 0 1, 22.45, 3.960, 779
1 1 4, 44.15, 2.051, 557
0 1 3, 31.73, 2.820, 480
0 2 0, 41.84, 2.159, 355
1 0 3, 32.01, 2.796, 337
0 0 2, 15.87, 5.585, 336
2 0 0, 42.70, 2.117, 335
0 1 5, 45.72, 1.984, 327
2 1 5, 64.34, 1.448, 238


Entry 2:
Computed powder diffractogram
Compound: SrMg2GaIr2
Radiation: Cu Kα
Structure: a GGA-PBE-relaxed structure
Kinematic intensities with the Lorentz-polarization factor, no thermal factor.

```
data_SrMg2GaIr2
_chemical_formula_sum 'Sr1 Mg2 Ga1 Ir2'
_symmetry_space_group_name_H-M 'P 4/m m m'
_symmetry_Int_Tables_number 123
_symmetry_space_group_name_Hall '-P 4 2'
_cell_length_a 4.7279
_cell_length_b 4.7279
_cell_length_c 6.1826
_cell_angle_alpha 90.00
_cell_angle_beta 90.00
_cell_angle_gamma 90.00
loop_
_atom_site_label
_atom_site_type_symbol
_atom_site_fract_x
_atom_site_fract_y
_atom_site_fract_z
_atom_site_occupancy
Sr1 Sr 0.0000 0.0000 0.0000 1
Mg1 Mg 0.5000 0.5000 0.2652 1
Ga1 Ga 0.0000 0.0000 0.5000 1
Ir1 Ir 0.0000 0.5000 0.5000 1
```

Principal peaks in the range 2θ = 5–70°, in order of falling intensity:
(hkl), 2θ (°), d_spacing, I (rel.)
0 0 1, 14.33, 6.183, 1000
1 1 1, 30.40, 2.941, 754
2 0 0, 38.07, 2.364, 483
0 0 2, 28.88, 3.091, 342
2 0 2, 48.48, 1.878, 334
2 0 1, 40.87, 2.208, 308
1 1 3, 52.14, 1.754, 188
3 1 1, 64.08, 1.453, 185
1 1 2, 39.71, 2.270, 175
2 2 0, 54.93, 1.672, 167


Entry 3:
Computed powder diffractogram
Compound: MgUGa2Ir2
Radiation: Cu Kα
Structure: a GGA-PBE-relaxed structure
Kinematic intensities with the Lorentz-polarization factor, no thermal factor.

```
data_MgUGa2Ir2
_chemical_formula_sum 'Mg1 U1 Ga2 Ir2'
_symmetry_space_group_name_H-M 'P -3 m 1'
_symmetry_Int_Tables_number 164
_symmetry_space_group_name_Hall '-P 3 2"'
_cell_length_a 4.3636
_cell_length_b 4.3636
_cell_length_c 6.4563
_cell_angle_alpha 90.00
_cell_angle_beta 90.00
_cell_angle_gamma 120.00
loop_
_atom_site_label
_atom_site_type_symbol
_atom_site_fract_x
_atom_site_fract_y
_atom_site_fract_z
_atom_site_occupancy
Mg1 Mg 0.0000 0.0000 0.0000 1
U1 U 0.0000 0.0000 0.5000 1
Ga1 Ga 0.3333 0.6667 0.2028 1
Ir1 Ir 0.3333 0.6667 0.7551 1
```

Principal peaks in the range 2θ = 5–70°, in order of falling intensity:
(hkl), 2θ (°), d_spacing, I (rel.)
0 1 2, 36.61, 2.455, 1000
1 1 0, 41.38, 2.182, 846
0 1 1, 27.35, 3.261, 781
2 0 2, 56.43, 1.631, 291
2 0 1, 50.32, 1.813, 154
1 0 3, 48.69, 1.870, 137
0 0 1, 13.72, 6.456, 137
1 2 1, 67.12, 1.395, 135
1 1 3, 60.42, 1.532, 116
1 1 2, 50.49, 1.808, 94


Entry 4:
Computed powder diffractogram
Compound: Na3Ga3IrO8
Radiation: Cu Kα
Structure: a GGA-PBE-relaxed structure
Kinematic intensities with the Lorentz-polarization factor, no thermal factor.

```
data_Na3Ga3IrO8
_chemical_formula_sum 'Na9 Ga9 Ir3 O24'
_symmetry_space_group_name_H-M 'R -3 m'
_symmetry_Int_Tables_number 166
_symmetry_space_group_name_Hall '-R 3 2"'
_cell_length_a 6.0942
_cell_length_b 6.0942
_cell_length_c 16.3426
_cell_angle_alpha 90.00
_cell_angle_beta 90.00
_cell_angle_gamma 120.00
loop_
_atom_site_label
_atom_site_type_symbol
_atom_site_fract_x
_atom_site_fract_y
_atom_site_fract_z
_atom_site_occupancy
Na1 Na 0.0000 0.5000 0.0000 1
Ga1 Ga 0.0000 0.5000 0.5000 1
Ir1 Ir 0.0000 0.0000 0.5000 1
O1 O 0.0000 0.0000 0.2328 1
O2 O 0.0012 0.5006 0.2299 1
```

Principal peaks in the range 2θ = 5–70°, in order of falling intensity:
(hkl), 2θ (°), d_spacing, I (rel.)
0 0 3, 16.27, 5.448, 1000
0 2 4, 40.70, 2.217, 711
2 0 2, 35.76, 2.511, 361
0 2 1, 34.43, 2.605, 325
1 0 1, 17.66, 5.022, 323
2 0 8, 57.01, 1.615, 216
2 2 0, 60.80, 1.524, 208
0 0 6, 32.88, 2.724, 176
0 2 7, 52.32, 1.749, 174
2 2 3, 63.39, 1.467, 153


Entry 5:
Computed powder diffractogram
Compound: Nb3GaIr4
Radiation: Cu Kα
Structure: a GGA-PBE-relaxed structure
Kinematic intensities with the Lorentz-polarization factor, no thermal factor.

```
data_Nb3GaIr4
_chemical_formula_sum 'Nb3 Ga1 Ir4'
_symmetry_space_group_name_H-M 'P 4/m m m'
_symmetry_Int_Tables_number 123
_symmetry_space_group_name_Hall '-P 4 2'
_cell_length_a 2.8985
_cell_length_b 2.8985
_cell_length_c 14.9579
_cell_angle_alpha 90.00
_cell_angle_beta 90.00
_cell_angle_gamma 90.00
loop_
_atom_site_label
_atom_site_type_symbol
_atom_site_fract_x
_atom_site_fract_y
_atom_site_fract_z
_atom_site_occupancy
Nb1 Nb 0.0000 0.0000 0.0000 1
Nb2 Nb 0.0000 0.0000 0.2596 1
Ga1 Ga 0.0000 0.0000 0.5000 1
Ir1 Ir 0.5000 0.5000 0.1287 1
Ir2 Ir 0.5000 0.5000 0.3884 1
```

Principal peaks in the range 2θ = 5–70°, in order of falling intensity:
(hkl), 2θ (°), d_spacing, I (rel.)
1 0 4, 39.33, 2.291, 1000
1 1 0, 44.19, 2.050, 379
1 1 8, 67.85, 1.381, 171
1 0 0, 30.85, 2.898, 124
2 0 0, 64.28, 1.449, 124
0 0 8, 48.70, 1.870, 116
0 0 4, 23.79, 3.739, 106
1 1 4, 50.80, 1.797, 61
1 0 8, 58.77, 1.571, 30
2 0 4, 69.57, 1.351, 25


Entry 6:
Computed powder diffractogram
Compound: Nb4GaIr5
Radiation: Cu Kα
Structure: a GGA-PBE-relaxed structure
Kinematic intensities with the Lorentz-polarization factor, no thermal factor.

```
data_Nb4GaIr5
_chemical_formula_sum 'Nb4 Ga1 Ir5'
_symmetry_space_group_name_H-M 'P m m m'
_symmetry_Int_Tables_number 47
_cell_length_a 2.8762
_cell_length_b 3.8482
_cell_length_c 14.3827
_cell_angle_alpha 90.00
_cell_angle_beta 90.00
_cell_angle_gamma 90.00
loop_
_symmetry_equiv_pos_as_xyz
'x,y,z'
'-x,-y,-z'
'-x,-y,z'
'x,y,-z'
'x,-y,-z'
'-x,y,z'
'-x,y,-z'
'x,-y,z'
loop_
_atom_site_label
_atom_site_type_symbol
_atom_site_fract_x
_atom_site_fract_y
_atom_site_fract_z
_atom_site_occupancy
Nb1 Nb 0.0000 0.0000 0.0990 1
Nb2 Nb 0.0000 0.0000 0.3025 1
Ga1 Ga 0.0000 0.0000 0.5000 1
Ir1 Ir 0.5000 0.5000 0.0000 1
Ir2 Ir 0.5000 0.5000 0.2009 1
Ir3 Ir 0.5000 0.5000 0.4041 1
```

Principal peaks in the range 2θ = 5–70°, in order of falling intensity:
(hkl), 2θ (°), d_spacing, I (rel.)
1 1 0, 39.10, 2.304, 1000
1 0 5, 44.55, 2.034, 345
1 2 5, 66.95, 1.398, 205
0 2 0, 47.24, 1.924, 146
0 1 0, 23.11, 3.848, 113
2 0 0, 64.83, 1.438, 112
1 0 0, 31.09, 2.876, 110
1 1 5, 50.77, 1.798, 61
1 2 0, 57.64, 1.599, 43
2 1 0, 69.81, 1.347, 24